1.
This entry pairs a crystal structure of K3Hg4Au2 with its simulated powder XRD pattern. Radiation: Cu Ka. Structure: a structure optimized by DFT (PBE).
No peak broadening, texture or thermal motion is included.

Structural model:
Unit cell a=6.4374 b=6.4374 c=9.7474 alpha=112.08 beta=112.08 gamma=48.01
Fractional positions:
K 0.0000 0.0000 0.0000
K 0.3548 0.3548 0.3246
K 0.6452 0.6452 0.6754
Hg 0.0942 0.0942 0.4143
Hg 0.2786 0.2786 0.9337
Hg 0.7214 0.7214 0.0663
Hg 0.9058 0.9058 0.5857
Au 0.3573 0.3573 0.6903
Au 0.6427 0.6427 0.3097

Most intense lines, 2θ from 10° to 90°, in order of rising 2θ:
| 2θ (°) | I (rel.) |
| --- | --- |
| 19.7 | 53 |
| 20.0 | 30 |
| 22.6 | 75 |
| 30.1 | 45 |
| 30.3 | 31 |
| 34.2 | 55 |
| 34.9 | 100 |
| 41.4 | 33 |
| 41.7 | 35 |
| 42.2 | 28 |

2.
This entry pairs a crystal structure of TaRuSe6 with its simulated powder XRD pattern. Radiation: Cu Ka. Structure: a structure optimized by DFT (PBE).
No peak broadening, texture or thermal motion is included.

Structural model:
Unit cell a=6.0005 b=6.2119 c=6.2899 alpha=69.05 beta=62.68 gamma=62.35
Fractional positions:
Ta 0.0000 0.0000 0.0000
Ru 0.5000 0.5000 0.5000
Se 0.0406 0.7486 0.7454
Se 0.3146 0.5822 0.1830
Se 0.4149 0.1051 0.6754
Se 0.5851 0.8949 0.3246
Se 0.6854 0.4178 0.8170
Se 0.9594 0.2514 0.2546

Most intense lines, 2θ from 10° to 90°, in order of rising 2θ:
| 2θ (°) | I (rel.) |
| --- | --- |
| 19.4 | 100 |
| 28.2 | 27 |
| 28.7 | 27 |
| 31.1 | 54 |
| 31.4 | 22 |
| 35.3 | 30 |
| 39.4 | 25 |
| 41.1 | 27 |
| 45.1 | 23 |
| 50.3 | 29 |

3.
This entry pairs a crystal structure of Cu4HPd with its simulated powder XRD pattern. Radiation: Cu Ka. Structure: a structure optimized by DFT (PBE).
No peak broadening, texture or thermal motion is included.

Structural model:
Unit cell a=5.0866 b=5.0866 c=6.7570 alpha=98.23 beta=98.23 gamma=125.89
Fractional positions:
Cu 0.0515 0.7724 0.5422
Cu 0.2275 0.4207 0.8572
Cu 0.2276 0.9485 0.9578
Cu 0.4207 0.2275 0.3572
Cu 0.5793 0.7725 0.6428
Cu 0.7724 0.0515 0.0422
Cu 0.7725 0.5793 0.1428
Cu 0.9485 0.2276 0.4578
H 0.0153 0.9847 0.7500
H 0.9847 0.0153 0.2500
Pd 0.3349 0.6651 0.2500
Pd 0.6651 0.3349 0.7500

Most intense lines, 2θ from 10° to 90°, in order of rising 2θ:
| 2θ (°) | I (rel.) |
| --- | --- |
| 39.8 | 45 |
| 41.0 | 63 |
| 41.2 | 13 |
| 41.8 | 18 |
| 42.0 | 70 |
| 42.3 | 27 |
| 44.0 | 100 |
| 50.3 | 37 |
| 51.1 | 21 |
| 77.3 | 20 |

4.
This entry pairs a crystal structure of ZnAgOs with its simulated powder XRD pattern. Radiation: Cu Ka. Structure: a structure optimized by DFT (PBE).
No peak broadening, texture or thermal motion is included.

Structural model:
Unit cell a=2.8350 b=2.8350 c=11.5122 alpha=90.00 beta=90.00 gamma=90.00
Fractional positions:
Zn 0.2500 0.2500 0.2342
Zn 0.7500 0.7500 0.7658
Ag 0.2500 0.2500 0.5944
Ag 0.7500 0.7500 0.4056
Os 0.2500 0.2500 0.9283
Os 0.7500 0.7500 0.0717

Most intense lines, 2θ from 10° to 90°, in order of rising 2θ:
| 2θ (°) | I (rel.) |
| --- | --- |
| 15.4 | 15 |
| 39.5 | 100 |
| 44.9 | 9 |
| 45.2 | 36 |
| 47.4 | 12 |
| 65.9 | 11 |
| 67.6 | 17 |
| 79.6 | 25 |
| 82.8 | 7 |
| 85.1 | 9 |

5.
This entry pairs a crystal structure of NdAg2Bi2 with its simulated powder XRD pattern. Radiation: Cu Ka. Structure: a structure optimized by DFT (PBE).
No peak broadening, texture or thermal motion is included.

Structural model:
Unit cell a=12.3620 b=12.3620 c=4.6114 alpha=90.00 beta=90.00 gamma=158.41
Fractional positions:
Nd 0.1435 0.8565 0.7500
Nd 0.8565 0.1435 0.2500
Ag 0.0358 0.9642 0.2500
Ag 0.4643 0.5357 0.2500
Ag 0.5357 0.4643 0.7500
Ag 0.9642 0.0358 0.7500
Bi 0.2501 0.7499 0.2500
Bi 0.3848 0.6152 0.7500
Bi 0.6152 0.3848 0.2500
Bi 0.7499 0.2501 0.7500

Most intense lines, 2θ from 10° to 90°, in order of rising 2θ:
| 2θ (°) | I (rel.) |
| --- | --- |
| 29.4 | 16 |
| 29.5 | 28 |
| 33.0 | 100 |
| 38.9 | 24 |
| 39.1 | 23 |
| 49.5 | 8 |
| 56.3 | 16 |
| 66.8 | 13 |
| 67.0 | 13 |
| 80.8 | 9 |

6.
This entry pairs a crystal structure of TaCrMo with its simulated powder XRD pattern. Radiation: Cu Ka. Structure: a structure optimized by DFT (PBE).
No peak broadening, texture or thermal motion is included.

Structural model:
Unit cell a=5.2081 b=5.2081 c=4.3894 alpha=90.00 beta=90.00 gamma=129.65
Fractional positions:
Ta 0.0000 0.0000 0.0000
Ta 0.5000 0.5000 0.5000
Cr 0.1727 0.8273 0.5000
Cr 0.8273 0.1727 0.5000
Mo 0.3273 0.6727 0.0000
Mo 0.6727 0.3273 0.0000

Most intense lines, 2θ from 10° to 90°, in order of rising 2θ:
| 2θ (°) | I (rel.) |
| --- | --- |
| 18.8 | 11 |
| 30.2 | 19 |
| 40.8 | 100 |
| 41.1 | 20 |
| 58.8 | 7 |
| 59.3 | 13 |
| 74.0 | 7 |
| 74.2 | 20 |
| 74.7 | 13 |
| 88.3 | 9 |